Sm3HfSe6: simulated powder diffractogram (Cu Kα (weighted mean of Kα1 and Kα2)), based on a structure optimized by DFT (PBE).
Neutral-atom scattering factors, no anomalous dispersion.

Most intense lines, 10 to 90 degrees two-theta, by angle:
2θ 16.78, intensity 37.3, hkl 0 1 2; 2θ 22.03, intensity 38.2, hkl 0 0 3; 2θ 22.90, intensity 72.9, hkl 3 -1 1; 2θ 26.27, intensity 32.7, hkl 1 1 3; 2θ 30.63, intensity 25.8, hkl 4 -3 1; 2θ 33.25, intensity 79.6, hkl 4 -1 2; 2θ 36.93, intensity 100.0, hkl 3 -1 4; 2θ 38.00, intensity 71.0, hkl 4 1 0; 2θ 49.12, intensity 29.5, hkl 1 5 2; 2θ 54.06, intensity 27.7, hkl 2 4 4

Atomic structure:
Cell lengths 12.5288, 12.5288, 12.0974 Å; angles 90.00, 90.00, 120.00 degrees
Space group R-3 (No. 148, hexagonal axes)
Inequivalent atoms, fractional coordinates:
Sm 0.0517 0.6134 0.3183
Hf 0.0000 0.0000 0.0000
Hf 0.0000 0.0000 0.5000
Se 0.0333 0.8286 0.3939
Se 0.0511 0.8522 0.8813